This entry pairs a crystal structure of Na2SnHg with its calculated powder diffraction line list. Radiation: λ = 1.5418 Å (Cu Kα). Structure: the PBE geometry in the Materials Project.
Peak positions follow from Bragg's law for the DFT cell and can differ from measured ones.

Structure:
```
Na2SnHg
1.0
0.0000 3.6922 3.6922
3.6922 0.0000 3.6922
3.6922 3.6922 0.0000
Na Sn Hg
2 1 1
Direct
0.0000 0.0000 0.0000
0.2500 0.2500 0.2500
0.7500 0.7500 0.7500
0.5000 0.5000 0.5000
```

Main lines, low angle first (2θ = 15–90°):
- d 4.263, 2θ 20.8, rel. 66
- d 2.611, 2θ 34.3, rel. 100
- d 2.226, 2θ 40.5, rel. 38
- d 1.846, 2θ 49.4, rel. 18
- d 1.694, 2θ 54.1, rel. 17
- d 1.507, 2θ 61.5, rel. 37
- d 1.421, 2θ 65.7, rel. 13
- d 1.305, 2θ 72.4, rel. 12
- d 1.248, 2θ 76.3, rel. 13
- d 1.168, 2θ 82.6, rel. 17


This entry pairs a crystal structure of LaMg6Ti with its calculated powder diffraction line list. Radiation: λ = 1.5418 Å (Cu Kα). Structure: the PBE geometry in the Materials Project.
Peak positions follow from Bragg's law for the DFT cell and can differ from measured ones.

Structure:
```
LaMg6Ti
1.0
5.1690 0.0000 0.0000
0.0000 3.3144 5.7225
0.0000 -3.3144 5.7225
La Mg Ti
1 6 1
Direct
0.0000 0.0000 0.0000
0.0000 0.0081 0.4851
0.0000 0.4851 0.0081
0.0000 0.4940 0.4940
0.5000 0.1689 0.6524
0.5000 0.6524 0.1689
0.5000 0.6646 0.6646
0.5000 0.1676 0.1676
```

Main lines, low angle first (2θ = 15–90°):
- d 5.733, 2θ 15.5, rel. 58
- d 3.838, 2θ 23.2, rel. 44
- d 3.311, 2θ 26.9, rel. 14
- d 2.866, 2θ 31.2, rel. 29
- d 2.786, 2θ 32.1, rel. 22
- d 2.584, 2θ 34.7, rel. 24
- d 2.506, 2θ 35.8, rel. 100
- d 1.919, 2θ 47.4, rel. 18
- d 1.477, 2θ 62.9, rel. 18
- d 1.393, 2θ 67.2, rel. 13